# 1
Theoretical XRD peak list
Compound: K8NbAs5Pb
Radiation: Cu Kα
Structure: a GGA-PBE-relaxed structure
Intensities are scaled so that the largest is 100.

Structural model:
```
K8NbAs5Pb
1.0
16.027 -4.728 0.000
16.027 4.728 0.000
-1.239 0.000 13.558
K Nb As Pb
32 4 20 4
Cartesian
10.568 3.101 7.344
14.634 3.607 8.224
13.621 3.109 3.921
8.646 1.474 2.288
15.562 3.607 12.113
4.779 0.350 9.718
5.399 -0.350 2.939
7.991 0.417 6.028
17.814 3.109 2.858
7.372 -0.417 12.807
19.628 3.101 12.993
12.224 0.399 1.379
11.605 -0.399 8.158
8.026 -1.474 9.067
13.629 0.248 11.952
14.248 -0.248 5.173
16.567 0.248 8.384
17.187 -0.248 1.605
22.790 1.474 4.491
19.211 0.399 5.399
18.592 -0.399 12.178
11.188 -3.101 0.565
23.444 0.417 0.751
13.001 -3.109 10.700
22.825 -0.417 7.530
25.417 0.350 10.618
26.037 -0.350 3.839
15.253 -3.607 1.445
22.170 -1.474 11.269
17.195 -3.109 9.636
16.182 -3.607 5.334
20.247 -3.101 6.214
9.988 1.513 11.087
20.208 1.513 9.250
10.608 -1.513 4.308
20.828 -1.513 2.471
9.169 2.771 13.177
8.282 1.762 9.294
12.089 2.769 10.337
15.027 2.287 1.058
11.060 0.914 4.738
16.408 2.287 5.721
18.107 2.769 10.000
21.027 2.771 7.159
10.440 -0.914 11.517
8.902 -1.762 2.516
21.914 1.762 11.042
20.375 0.914 2.041
9.789 -2.771 6.398
12.709 -2.769 3.558
14.408 -2.287 7.836
19.756 -0.914 8.820
15.789 -2.287 12.500
18.727 -2.769 3.221
22.534 -1.762 4.263
21.647 -2.771 0.381
11.932 3.640 13.071
18.264 3.640 7.266
12.552 -3.640 6.292
18.884 -3.640 0.487
```

Principal peaks in the range 2θ = 15–90°, sorted by position:
two_theta	I/Imax
20.8	59
27.3	64
29.2	91
29.6	100
29.9	70
30.5	63
32.1	69
32.3	71
33.1	93
33.9	54

# 2
Theoretical XRD peak list
Compound: K3Nb2AsSe11
Radiation: Cu Kα
Structure: a GGA-PBE-relaxed structure
Intensities are scaled so that the largest is 100.

Structural model:
```
K3Nb2AsSe11
1.0
7.615 -6.673 0.000
7.615 6.673 0.000
-1.645 0.000 9.900
K Nb As Se
6 4 2 22
Cartesian
6.793 5.751 4.950
2.635 1.036 6.537
3.457 -1.036 1.587
9.016 1.071 2.491
8.194 -1.071 7.441
7.615 -5.751 0.000
5.747 3.912 0.821
9.417 3.677 7.598
4.924 -3.912 5.771
10.240 -3.677 2.648
5.752 2.058 8.058
6.574 -2.058 3.107
3.177 2.679 0.084
1.441 1.017 3.248
4.692 4.218 8.151
4.250 3.323 4.718
0.618 -1.017 8.198
5.158 2.121 2.845
7.922 4.370 1.648
6.007 1.304 0.067
8.090 2.595 5.637
2.355 -2.679 5.034
7.925 2.059 9.127
5.184 -1.304 5.017
4.335 -2.121 7.795
3.427 -3.323 9.668
11.080 1.318 7.398
5.514 -4.218 3.200
11.347 0.524 5.162
8.747 -2.059 4.177
8.913 -2.595 0.687
12.169 -0.524 0.212
7.099 -4.370 6.598
11.902 -1.318 2.447
```

Principal peaks in the range 2θ = 15–90°, sorted by position:
two_theta	I/Imax
26.7	31
27.3	44
30.0	47
30.1	100
30.2	37
30.5	32
33.2	40
36.3	37
38.4	37
49.2	33

# 3
Theoretical XRD peak list
Compound: K6NbTlAs4
Radiation: Cu Kα
Structure: a GGA-PBE-relaxed structure
Intensities are scaled so that the largest is 100.

Structural model:
```
K6NbTlAs4
1.0
18.996 0.000 0.000
0.000 10.525 0.000
0.000 0.000 7.833
K Nb Tl As
24 4 4 16
Cartesian
0.048 2.631 0.428
1.500 0.206 5.650
1.500 5.056 5.650
2.895 2.631 2.507
4.621 5.748 3.861
4.621 10.039 3.861
4.877 0.486 7.778
4.877 4.777 7.778
6.604 7.894 6.424
7.998 5.469 1.733
7.998 10.318 1.733
9.450 7.894 4.344
9.546 2.631 3.489
10.998 0.206 6.100
10.998 5.056 6.100
12.393 2.631 1.410
14.119 5.748 0.056
14.119 10.039 0.056
14.375 0.486 3.972
14.375 4.777 3.972
16.102 7.894 5.326
17.497 5.469 2.183
17.497 10.318 2.183
18.949 7.894 7.406
3.215 7.894 0.818
6.283 2.631 4.735
12.713 7.894 3.099
15.781 2.631 7.015
0.973 7.894 3.464
8.525 2.631 7.381
10.472 7.894 0.452
18.023 2.631 4.369
1.936 5.843 1.660
1.936 9.944 1.660
3.223 7.894 6.166
3.901 2.631 5.518
5.597 7.894 1.601
6.275 2.631 2.249
7.563 0.581 5.577
7.563 4.681 5.577
11.434 5.843 2.257
11.434 9.944 2.257
12.722 7.894 5.584
13.399 2.631 6.232
15.096 7.894 2.315
15.773 2.631 1.667
17.061 0.581 6.173
17.061 4.681 6.173
```

Principal peaks in the range 2θ = 15–90°, sorted by position:
two_theta	I/Imax
16.8	49
19.9	32
24.7	29
27.4	80
29.6	35
30.0	100
31.3	44
31.8	32
33.0	48
34.1	54